SrIn2Te4: computed powder XRD pattern (CuKα), based on a crystal structure in Alexandria, relaxed with GGA-PBE.
Lines closer than 0.1° are merged.

Peak list (10 most intense, 2θ = 10–90°, by angle)
| d/Å | I_rel |
| --- | --- |
| 6.007 | 22 |
| 5.950 | 21 |
| 3.362 | 46 |
| 3.342 | 47 |
| 3.003 | 25 |
| 2.975 | 20 |
| 2.751 | 100 |
| 2.147 | 12 |
| 1.977 | 19 |
| 1.969 | 18 |

Crystal structure
Lattice parameters (Å, degrees): 6.9663 6.9663 12.0133 90.00 90.00 117.34
Fractional positions:
Sr 0.0000 0.0000 0.2500
Sr 0.0000 0.0000 0.7500
In 0.2650 0.7294 0.0000
In 0.2706 0.7350 0.5000
In 0.7294 0.2650 0.5000
In 0.7350 0.2706 0.0000
Te 0.0000 0.5000 0.1837
Te 0.0000 0.5000 0.8163
Te 0.1542 0.2895 0.5000
Te 0.2895 0.1542 0.0000
Te 0.5000 0.0000 0.3163
Te 0.5000 0.0000 0.6837
Te 0.7105 0.8458 0.0000
Te 0.8458 0.7105 0.5000


SrIn2Te3: computed powder XRD pattern (CuKα), based on a crystal structure in Alexandria, relaxed with GGA-PBE.
Lines closer than 0.1° are merged.

Peak list (10 most intense, 2θ = 10–90°, by angle)
| d/Å | I_rel |
| --- | --- |
| 3.984 | 40 |
| 3.924 | 56 |
| 3.418 | 57 |
| 3.364 | 37 |
| 2.835 | 65 |
| 2.722 | 100 |
| 2.623 | 64 |
| 2.311 | 57 |
| 2.279 | 41 |
| 2.202 | 41 |

Crystal structure
Lattice parameters (Å, degrees): 12.1670 12.1670 10.3679 110.65 110.65 21.89
Fractional positions:
Sr 0.1668 0.1668 0.0214
Sr 0.8332 0.8332 0.9786
In 0.2751 0.2751 0.4135
In 0.4357 0.4357 0.8341
In 0.5643 0.5643 0.1659
In 0.7249 0.7249 0.5865
Te 0.1234 0.1234 0.3170
Te 0.2372 0.2372 0.8008
Te 0.4384 0.4384 0.1141
Te 0.5616 0.5616 0.8859
Te 0.7628 0.7628 0.1992
Te 0.8766 0.8766 0.6830


SrIn2Te4: computed powder XRD pattern (CuKα), based on a crystal structure in Alexandria, relaxed with GGA-PBE.
Lines closer than 0.1° are merged.

Peak list (10 most intense, 2θ = 10–90°, by angle)
| d/Å | I_rel |
| --- | --- |
| 6.164 | 40 |
| 3.426 | 100 |
| 3.102 | 15 |
| 3.082 | 36 |
| 2.771 | 43 |
| 2.186 | 59 |
| 2.055 | 15 |
| 2.040 | 23 |
| 2.028 | 29 |
| 1.380 | 23 |

Crystal structure
Lattice parameters (Å, degrees): 7.1333 7.1333 7.1333 104.67 104.67 119.57
Fractional positions:
Sr 0.0000 0.0000 0.0000
In 0.2500 0.7500 0.5000
In 0.7500 0.2500 0.5000
Te 0.1913 0.6673 0.8585
Te 0.3327 0.1913 0.5240
Te 0.6673 0.8087 0.4760
Te 0.8087 0.3327 0.1415


SrTh4In5: computed powder XRD pattern (CuKα), based on a crystal structure in Alexandria, relaxed with GGA-PBE.
Lines closer than 0.1° are merged.

Peak list (10 most intense, 2θ = 10–90°, by angle)
| d/Å | I_rel |
| --- | --- |
| 2.822 | 100 |
| 2.502 | 36 |
| 2.339 | 14 |
| 1.769 | 13 |
| 1.709 | 22 |
| 1.499 | 30 |
| 1.427 | 11 |
| 1.411 | 12 |
| 1.144 | 6 |
| 1.111 | 11 |

Crystal structure
Lattice parameters (Å, degrees): 3.5384 3.5384 23.3881 90.00 90.00 90.00
Fractional positions:
Sr 0.0000 0.0000 0.0000
Th 0.0000 0.0000 0.2044
Th 0.0000 0.0000 0.4015
Th 0.0000 0.0000 0.5985
Th 0.0000 0.0000 0.7956
In 0.5000 0.5000 0.1055
In 0.5000 0.5000 0.3029
In 0.5000 0.5000 0.5000
In 0.5000 0.5000 0.6971
In 0.5000 0.5000 0.8945


SrTl8In4: computed powder XRD pattern (CuKα), based on a crystal structure in Alexandria, relaxed with GGA-PBE.
Lines closer than 0.1° are merged.

Peak list (10 most intense, 2θ = 10–90°, by angle)
| d/Å | I_rel |
| --- | --- |
| 3.237 | 41 |
| 3.108 | 25 |
| 2.844 | 39 |
| 2.813 | 100 |
| 2.727 | 39 |
| 2.543 | 38 |
| 2.522 | 49 |
| 2.459 | 58 |
| 1.732 | 24 |
| 1.618 | 27 |

Crystal structure
Lattice parameters (Å, degrees): 8.6226 8.6226 8.6226 97.46 97.46 137.75
Fractional positions:
Sr 0.0000 0.0000 0.0000
Tl 0.0000 0.3545 0.3545
Tl 0.0000 0.6455 0.6455
Tl 0.2923 0.5000 0.7923
Tl 0.3545 0.0000 0.3545
Tl 0.5000 0.2923 0.7923
Tl 0.5000 0.7077 0.2077
Tl 0.6455 0.0000 0.6455
Tl 0.7077 0.5000 0.2077
In 0.0000 0.0000 0.5000
In 0.0000 0.5000 0.0000
In 0.5000 0.0000 0.0000
In 0.5000 0.5000 0.5000


SrTlIn: computed powder XRD pattern (CuKα), based on a crystal structure in Alexandria, relaxed with GGA-PBE.
Lines closer than 0.1° are merged.

Peak list (10 most intense, 2θ = 10–90°, by angle)
| d/Å | I_rel |
| --- | --- |
| 6.040 | 19 |
| 3.794 | 10 |
| 2.837 | 100 |
| 2.826 | 53 |
| 2.067 | 12 |
| 1.998 | 20 |
| 1.640 | 16 |
| 1.634 | 38 |
| 1.418 | 10 |
| 1.264 | 17 |

Crystal structure
Lattice parameters (Å, degrees): 6.6685 6.6685 6.6685 145.12 145.12 50.15
Fractional positions:
Sr 0.0000 0.0000 0.0000
Tl 0.3165 0.3165 0.0000
In 0.6829 0.6829 0.0000